Starting from a GGA-PBE-relaxed structure, the powder X-ray diffraction pattern of LiSb2P5O16 was simulated for copper Kα.
Kinematic intensities with the Lorentz-polarization factor, no thermal factor.

Principal peaks in the range 5 to 70 degrees two-theta, by angle:
| (hkl) | d (Å) | Rel. int. |
| --- | --- | --- |
| 0 1 1 | 7.306 | 26 |
| 1 0 0 | 6.960 | 21 |
| 1 1 0 | 5.890 | 49 |
| 1 1 -1 | 5.706 | 100 |
| 0 0 2 | 4.866 | 44 |
| 1 0 2 | 3.531 | 14 |
| 1 3 0 | 3.257 | 28 |
| 0 1 3 | 3.113 | 30 |
| 2 2 -1 | 3.036 | 34 |
| 1 3 -2 | 2.897 | 25 |

```
data_LiSb2P5O16
_cell_length_a 7.281
_cell_length_b 11.057
_cell_length_c 10.182
_cell_angle_alpha 90.00
_cell_angle_beta 107.08
_cell_angle_gamma 90.00
_symmetry_space_group_name_H-M 'P 1'
_symmetry_Int_Tables_number 1
_symmetry_space_group_name_Hall 'P 1'
loop_
_atom_site_label
_atom_site_fract_x
_atom_site_fract_y
_atom_site_fract_z
_atom_site_occupancy
Li1 0.000 0.093 0.000 1
Li2 0.000 0.907 0.500 1
Sb1 0.478 0.354 0.230 1
Sb2 0.478 0.646 0.730 1
Sb3 0.929 0.149 0.612 1
Sb4 0.929 0.851 0.112 1
P1 0.275 0.345 0.640 1
P2 0.275 0.655 0.140 1
P3 0.328 0.188 0.881 1
P4 0.328 0.812 0.381 1
P5 0.374 0.040 0.249 1
P6 0.374 0.960 0.749 1
P7 0.627 0.407 0.568 1
P8 0.627 0.593 0.068 1
P9 0.769 0.112 0.255 1
P10 0.769 0.888 0.755 1
O1 0.102 0.270 0.554 1
O2 0.102 0.730 0.054 1
O3 0.107 0.178 0.837 1
O4 0.107 0.822 0.337 1
O5 0.212 0.011 0.631 1
O6 0.212 0.989 0.131 1
O7 0.239 0.466 0.691 1
O8 0.239 0.534 0.191 1
O9 0.354 0.163 0.304 1
O10 0.354 0.837 0.804 1
O11 0.394 0.258 0.764 1
O12 0.394 0.742 0.264 1
O13 0.414 0.348 0.546 1
O14 0.414 0.652 0.046 1
O15 0.417 0.242 0.018 1
O16 0.417 0.758 0.518 1
O17 0.418 0.056 0.876 1
O18 0.418 0.944 0.376 1
O19 0.570 0.031 0.206 1
O20 0.570 0.969 0.706 1
O21 0.626 0.435 0.421 1
O22 0.626 0.565 0.921 1
O23 0.645 0.478 0.154 1
O24 0.645 0.522 0.654 1
O25 0.720 0.244 0.276 1
O26 0.720 0.756 0.776 1
O27 0.769 0.309 0.639 1
O28 0.769 0.691 0.139 1
O29 0.862 0.091 0.143 1
O30 0.862 0.909 0.643 1
O31 0.880 0.059 0.397 1
O32 0.880 0.941 0.897 1
```